Record 1
Structure and simulated powder diffractogram of LaPRuO (DFT lattice parameters and positions (PBE); Cu Kα (weighted mean of Kα1 and Kα2)).

Structural model:
```
LaPRuO
1.0
4.073 0.000 0.000
0.000 4.073 0.000
0.000 0.000 8.477
La P Ru O
2 2 2 2
Direct
0.250 0.250 0.145 La
0.750 0.750 0.855 La
0.250 0.250 0.636 P
0.750 0.750 0.364 P
0.250 0.750 0.500 Ru
0.750 0.250 0.500 Ru
0.250 0.750 0.000 O
0.750 0.250 0.000 O
```

Most intense lines, 10° ≤ 2θ ≤ 90°, by angle:
2θ (°)	I (rel.)
24.24	46
30.44	100
31.66	29
32.84	69
37.76	51
44.48	53
53.70	53
54.85	37
55.63	24
88.91	25

=====

Record 2
Structure and simulated powder diffractogram of La8P3S4O (DFT lattice parameters and positions (PBE); Cu Kα (weighted mean of Kα1 and Kα2)).

Structural model:
```
La8P3S4O
1.0
4.139 2.390 6.817
-4.139 2.390 6.817
0.000 -4.779 6.817
La P S O
8 3 4 1
Direct
0.249 0.249 0.249 La
0.257 0.739 0.739 La
0.261 0.261 0.743 La
0.261 0.743 0.261 La
0.739 0.257 0.739 La
0.739 0.739 0.257 La
0.743 0.261 0.261 La
0.751 0.751 0.751 La
0.000 0.000 0.500 P
0.000 0.500 0.000 P
0.500 0.000 0.000 P
0.000 0.000 0.000 S
0.000 0.500 0.500 S
0.500 0.000 0.500 S
0.500 0.500 0.000 S
0.500 0.500 0.500 O
```

Most intense lines, 10° ≤ 2θ ≤ 90°, by angle:
2θ (°)	I (rel.)
26.14	19
26.35	57
30.46	100
43.48	36
43.74	36
51.67	18
54.23	19
71.75	15
72.13	15
80.18	11

=====

Repeat the second record exactly.
Structure and simulated powder diffractogram of La8P3S4O (DFT lattice parameters and positions (PBE); Cu Kα (weighted mean of Kα1 and Kα2)).

Structural model:
```
La8P3S4O
1.0
4.139 2.390 6.817
-4.139 2.390 6.817
0.000 -4.779 6.817
La P S O
8 3 4 1
Direct
0.249 0.249 0.249 La
0.257 0.739 0.739 La
0.261 0.261 0.743 La
0.261 0.743 0.261 La
0.739 0.257 0.739 La
0.739 0.739 0.257 La
0.743 0.261 0.261 La
0.751 0.751 0.751 La
0.000 0.000 0.500 P
0.000 0.500 0.000 P
0.500 0.000 0.000 P
0.000 0.000 0.000 S
0.000 0.500 0.500 S
0.500 0.000 0.500 S
0.500 0.500 0.000 S
0.500 0.500 0.500 O
```

Most intense lines, 10° ≤ 2θ ≤ 90°, by angle:
2θ (°)	I (rel.)
26.14	19
26.35	57
30.46	100
43.48	36
43.74	36
51.67	18
54.23	19
71.75	15
72.13	15
80.18	11